No. 1
This entry pairs a crystal structure of MgTi2Zn4O8 with its computed X-ray diffraction stick pattern. Radiation: Cu Kα X-rays. Structure: a cell relaxed with GGA-PBE.
Peak positions follow from Bragg's law for the DFT cell and can differ from measured ones.

Top 6 peaks for 10° ≤ 2θ ≤ 90°, by angle:
d_spacing, Position (°2θ), I/Imax
3.216, 27.74, 24
2.891, 30.93, 79
2.864, 31.23, 23
2.611, 34.35, 100
2.512, 35.74, 59
1.608, 57.30, 31

Atomic structure:
```
MgTi2Zn4O8
1.0
-2.864 3.065 5.024
2.864 -3.065 5.024
2.864 3.065 -5.024
Mg Ti Zn O
1 2 4 8
Cartesian
0.000 0.000 0.000 Mg
1.554 0.000 2.294 Ti
4.173 0.000 2.294 Ti
2.864 1.427 -0.649 Zn
0.000 3.065 0.683 Zn
0.000 1.638 4.375 Zn
0.000 0.000 7.441 Zn
0.000 1.266 1.540 O
2.864 1.326 1.517 O
1.482 3.065 -0.867 O
1.382 0.000 4.157 O
-1.372 3.065 3.850 O
1.372 3.065 3.850 O
0.000 1.739 6.541 O
0.000 4.864 1.540 O
```

***

No. 2
This entry pairs a crystal structure of K6Na14MgTl18 with its computed X-ray diffraction stick pattern. Radiation: Cu Kα X-rays. Structure: a cell relaxed with GGA-PBE.
Peak positions follow from Bragg's law for the DFT cell and can differ from measured ones.

Top 6 peaks for 10° ≤ 2θ ≤ 90°, by angle:
d_spacing, Position (°2θ), I/Imax
7.652, 11.56, 95
4.840, 18.33, 33
3.001, 29.77, 43
2.892, 30.92, 37
2.706, 33.11, 35
2.625, 34.16, 100

Atomic structure:
```
K6Na14MgTl18
1.0
10.822 0.000 0.000
0.000 10.822 0.000
0.000 0.000 10.822
K Na Mg Tl
6 14 1 18
Cartesian
0.000 3.382 5.411 K
0.000 7.440 5.411 K
3.382 5.411 0.000 K
5.411 0.000 3.382 K
5.411 0.000 7.440 K
7.440 5.411 0.000 K
0.000 5.411 1.842 Na
0.000 5.411 8.980 Na
1.842 0.000 5.411 Na
2.370 2.370 2.370 Na
2.370 2.370 8.452 Na
2.370 8.452 2.370 Na
2.370 8.452 8.452 Na
5.411 1.842 0.000 Na
5.411 8.980 0.000 Na
8.452 2.370 2.370 Na
8.452 2.370 8.452 Na
8.452 8.452 2.370 Na
8.452 8.452 8.452 Na
8.980 0.000 5.411 Na
5.411 5.411 5.411 Mg
0.000 0.000 2.392 Tl
0.000 0.000 8.430 Tl
0.000 2.392 0.000 Tl
0.000 8.430 0.000 Tl
2.392 0.000 0.000 Tl
2.668 5.411 3.740 Tl
2.668 5.411 7.082 Tl
3.740 2.668 5.411 Tl
3.740 8.154 5.411 Tl
5.411 3.740 2.668 Tl
5.411 3.740 8.154 Tl
5.411 7.082 2.668 Tl
5.411 7.082 8.154 Tl
7.082 2.668 5.411 Tl
7.082 8.154 5.411 Tl
8.154 5.411 3.740 Tl
8.154 5.411 7.082 Tl
8.430 0.000 0.000 Tl
```

***

No. 3
This entry pairs a crystal structure of Na2PtO3 with its computed X-ray diffraction stick pattern. Radiation: Cu Kα X-rays. Structure: a cell relaxed with GGA-PBE.
Peak positions follow from Bragg's law for the DFT cell and can differ from measured ones.

Top 6 peaks for 10° ≤ 2θ ≤ 90°, by angle:
d_spacing, Position (°2θ), I/Imax
4.667, 19.01, 100
4.157, 21.38, 26
3.477, 25.62, 47
2.613, 34.32, 55
2.311, 38.97, 28
2.239, 40.27, 53

Atomic structure:
```
Na2PtO3
1.0
2.874 -4.754 0.000
2.874 4.754 0.000
-1.980 0.000 5.098
Na Pt O
4 2 6
Cartesian
1.389 3.941 3.824 Na
2.379 2.467 1.275 Na
1.389 -2.467 3.824 Na
2.379 -3.941 1.275 Na
1.389 0.807 3.824 Pt
2.379 -0.807 1.275 Pt
0.447 2.377 2.549 O
-0.240 0.657 5.088 O
0.749 -0.657 2.539 O
1.437 -2.377 0.000 O
3.018 0.657 2.560 O
4.008 -0.657 0.011 O
```

***

No. 4
This entry pairs a crystal structure of TiZnSbP3O12 with its computed X-ray diffraction stick pattern. Radiation: Cu Kα X-rays. Structure: a cell relaxed with GGA-PBE.
Peak positions follow from Bragg's law for the DFT cell and can differ from measured ones.

Top 6 peaks for 10° ≤ 2θ ≤ 90°, by angle:
d_spacing, Position (°2θ), I/Imax
4.445, 19.98, 100
3.697, 24.07, 63
2.666, 33.62, 87
2.566, 34.96, 58
1.849, 49.29, 42
1.500, 61.85, 36

Atomic structure:
```
TiZnSbP3O12
1.0
4.445 2.566 6.662
-4.445 2.566 6.662
0.000 -5.133 6.662
Ti Zn Sb P O
2 2 2 6 24
Cartesian
0.000 0.000 0.000 Ti
0.000 0.000 9.993 Ti
0.000 0.000 3.095 Zn
0.000 0.000 13.087 Zn
0.000 0.000 6.285 Sb
0.000 0.000 16.278 Sb
-1.388 -2.454 7.986 P
-3.013 -0.137 11.317 P
-1.431 2.429 7.986 P
1.625 -2.541 11.316 P
2.819 0.025 7.986 P
1.388 2.678 11.316 P
-1.500 0.007 4.711 O
-0.727 -3.851 8.209 O
-1.081 -1.951 6.592 O
-3.296 -0.655 9.923 O
-3.558 -1.135 12.417 O
0.744 -1.303 4.711 O
-2.972 2.555 8.209 O
-0.796 -1.484 9.087 O
-1.149 1.911 6.592 O
0.756 1.295 4.711 O
-1.473 -0.012 11.540 O
-0.887 1.432 9.087 O
-0.744 -1.303 14.703 O
0.747 -1.270 11.540 O
2.215 -2.527 9.923 O
2.230 0.040 6.592 O
1.683 0.053 9.087 O
-0.756 1.295 14.703 O
0.727 1.282 11.540 O
2.762 -2.514 12.417 O
1.081 3.181 9.923 O
1.500 0.007 14.703 O
3.698 1.296 8.209 O
0.796 3.648 12.417 O
```

***

No. 5
This entry pairs a crystal structure of EuCo2P2 with its computed X-ray diffraction stick pattern. Radiation: Cu Kα X-rays. Structure: a cell relaxed with GGA-PBE.
Peak positions follow from Bragg's law for the DFT cell and can differ from measured ones.

Top 6 peaks for 10° ≤ 2θ ≤ 90°, by angle:
d_spacing, Position (°2θ), I/Imax
3.551, 25.08, 53
2.809, 31.86, 28
2.647, 33.86, 92
2.394, 37.57, 100
1.871, 48.66, 39
1.528, 60.58, 65

Atomic structure:
```
EuCo2P2
1.0
-1.871 1.871 5.618
1.871 -1.871 5.618
1.871 1.871 -5.618
Eu Co P
1 2 2
Cartesian
0.000 0.000 0.000 Eu
1.871 0.000 2.809 Co
0.000 1.871 2.809 Co
0.000 0.000 3.989 P
0.000 0.000 7.248 P
```

***

No. 6
This entry pairs a crystal structure of CsCa3 with its computed X-ray diffraction stick pattern. Radiation: Cu Kα X-rays. Structure: a cell relaxed with GGA-PBE.
Peak positions follow from Bragg's law for the DFT cell and can differ from measured ones.

Top 6 peaks for 10° ≤ 2θ ≤ 90°, by angle:
d_spacing, Position (°2θ), I/Imax
5.380, 16.48, 24
3.295, 27.06, 100
2.330, 38.65, 19
1.902, 47.82, 39
1.473, 63.10, 16
1.245, 76.50, 18

Atomic structure:
```
CsCa3
1.0
0.000 4.659 4.659
4.659 0.000 4.659
4.659 4.659 0.000
Cs Ca
1 3
Cartesian
0.000 0.000 0.000 Cs
2.330 2.330 2.330 Ca
4.659 4.659 4.659 Ca
6.989 6.989 6.989 Ca
```

***

No. 7
This entry pairs a crystal structure of UTiO3 with its computed X-ray diffraction stick pattern. Radiation: Cu Kα X-rays. Structure: a cell relaxed with GGA-PBE.
Peak positions follow from Bragg's law for the DFT cell and can differ from measured ones.

Top 6 peaks for 10° ≤ 2θ ≤ 90°, by angle:
d_spacing, Position (°2θ), I/Imax
3.923, 22.67, 45
2.774, 32.27, 100
2.265, 39.80, 30
1.961, 46.29, 28
1.754, 52.14, 23
1.601, 57.55, 40

Atomic structure:
```
UTiO3
1.0
3.923 0.000 0.000
0.000 3.923 0.000
0.000 0.000 3.923
U Ti O
1 1 3
Cartesian
0.000 0.000 0.000 U
1.961 1.961 1.961 Ti
0.000 1.961 1.961 O
1.961 0.000 1.961 O
1.961 1.961 0.000 O
```

***

> Number 2 is which compound?

K6Na14MgTl18

***

Repeat the sixth record exactly.
This entry pairs a crystal structure of CsCa3 with its computed X-ray diffraction stick pattern. Radiation: Cu Kα X-rays. Structure: a cell relaxed with GGA-PBE.
Peak positions follow from Bragg's law for the DFT cell and can differ from measured ones.

Top 6 peaks for 10° ≤ 2θ ≤ 90°, by angle:
d_spacing, Position (°2θ), I/Imax
5.380, 16.48, 24
3.295, 27.06, 100
2.330, 38.65, 19
1.902, 47.82, 39
1.473, 63.10, 16
1.245, 76.50, 18

Atomic structure:
```
CsCa3
1.0
0.000 4.659 4.659
4.659 0.000 4.659
4.659 4.659 0.000
Cs Ca
1 3
Cartesian
0.000 0.000 0.000 Cs
2.330 2.330 2.330 Ca
4.659 4.659 4.659 Ca
6.989 6.989 6.989 Ca
```

***

What did the second record say?
This entry pairs a crystal structure of K6Na14MgTl18 with its computed X-ray diffraction stick pattern. Radiation: Cu Kα X-rays. Structure: a cell relaxed with GGA-PBE.
Peak positions follow from Bragg's law for the DFT cell and can differ from measured ones.

Top 6 peaks for 10° ≤ 2θ ≤ 90°, by angle:
d_spacing, Position (°2θ), I/Imax
7.652, 11.56, 95
4.840, 18.33, 33
3.001, 29.77, 43
2.892, 30.92, 37
2.706, 33.11, 35
2.625, 34.16, 100

Atomic structure:
```
K6Na14MgTl18
1.0
10.822 0.000 0.000
0.000 10.822 0.000
0.000 0.000 10.822
K Na Mg Tl
6 14 1 18
Cartesian
0.000 3.382 5.411 K
0.000 7.440 5.411 K
3.382 5.411 0.000 K
5.411 0.000 3.382 K
5.411 0.000 7.440 K
7.440 5.411 0.000 K
0.000 5.411 1.842 Na
0.000 5.411 8.980 Na
1.842 0.000 5.411 Na
2.370 2.370 2.370 Na
2.370 2.370 8.452 Na
2.370 8.452 2.370 Na
2.370 8.452 8.452 Na
5.411 1.842 0.000 Na
5.411 8.980 0.000 Na
8.452 2.370 2.370 Na
8.452 2.370 8.452 Na
8.452 8.452 2.370 Na
8.452 8.452 8.452 Na
8.980 0.000 5.411 Na
5.411 5.411 5.411 Mg
0.000 0.000 2.392 Tl
0.000 0.000 8.430 Tl
0.000 2.392 0.000 Tl
0.000 8.430 0.000 Tl
2.392 0.000 0.000 Tl
2.668 5.411 3.740 Tl
2.668 5.411 7.082 Tl
3.740 2.668 5.411 Tl
3.740 8.154 5.411 Tl
5.411 3.740 2.668 Tl
5.411 3.740 8.154 Tl
5.411 7.082 2.668 Tl
5.411 7.082 8.154 Tl
7.082 2.668 5.411 Tl
7.082 8.154 5.411 Tl
8.154 5.411 3.740 Tl
8.154 5.411 7.082 Tl
8.430 0.000 0.000 Tl
```